Record 1
KClF6: theoretical powder diffraction line list (Cu Kα (weighted mean of Kα1 and Kα2)), based on a structure optimized by DFT (PBE).
Peak positions follow from Bragg's law for the DFT cell and can differ from measured ones.

Principal peaks in the range 2θ = 15–90°, in order of rising 2θ:
index	2theta	I/Imax
1 0 1	19.66	32
0 1 2	22.21	100
1 0 4	30.43	80
0 2 1	38.50	40
2 0 2	39.94	48
2 0 5	49.05	20
1 1 6	49.44	41
2 1 4	57.04	29
2 2 0	68.67	18
0 2 10	75.04	13

Structural model:
```
data_KClF6
_chemical_formula_sum 'K3 Cl3 F18'
_symmetry_space_group_name_H-M 'R -3 m'
_symmetry_Int_Tables_number 166
_symmetry_space_group_name_Hall '-R 3 2"'
_cell_length_a 5.4670
_cell_length_b 5.4670
_cell_length_c 14.9793
_cell_angle_alpha 90.00
_cell_angle_beta 90.00
_cell_angle_gamma 120.00
loop_
_atom_site_label
_atom_site_type_symbol
_atom_site_fract_x
_atom_site_fract_y
_atom_site_fract_z
_atom_site_occupancy
K1 K 0.0000 0.0000 0.0000 1
Cl1 Cl 0.0000 0.0000 0.5000 1
F1 F 0.0215 0.5108 0.0963 1
```

=====

Record 2
Pr2Y2Sb5: theoretical powder diffraction line list (Cu Kα (weighted mean of Kα1 and Kα2)), based on a structure optimized by DFT (PBE).
Peak positions follow from Bragg's law for the DFT cell and can differ from measured ones.

Principal peaks in the range 2θ = 15–90°, in order of rising 2θ:
index	2theta	I/Imax
3 1 2	29.28	75
0 2 2	30.82	39
5 1 1	31.60	58
6 0 0	33.08	100
1 1 3	34.71	62
1 3 1	35.34	58
5 1 2	36.88	19
3 1 3	38.18	18
0 2 4	49.34	23
0 4 4	64.22	25

Structural model:
```
data_Pr2Y2Sb5
_chemical_formula_sum 'Pr8 Y8 Sb20'
_symmetry_space_group_name_H-M 'C m c e'
_symmetry_Int_Tables_number 64
_symmetry_space_group_name_Hall '-C 2ac 2'
_cell_length_a 16.2162
_cell_length_b 8.1152
_cell_length_c 8.2985
_cell_angle_alpha 90.00
_cell_angle_beta 90.00
_cell_angle_gamma 90.00
loop_
_atom_site_label
_atom_site_type_symbol
_atom_site_fract_x
_atom_site_fract_y
_atom_site_fract_z
_atom_site_occupancy
Pr1 Pr 0.1908 0.0000 0.0000 1
Y1 Y 0.0000 0.1580 0.3379 1
Sb1 Sb 0.0000 0.0000 0.0000 1
Sb2 Sb 0.1353 0.1400 0.6409 1
```

=====

Record 3
LiSm3Er3S8: theoretical powder diffraction line list (Cu Kα (weighted mean of Kα1 and Kα2)), based on a structure optimized by DFT (PBE).
Peak positions follow from Bragg's law for the DFT cell and can differ from measured ones.

Principal peaks in the range 2θ = 15–90°, in order of rising 2θ:
index	2theta	I/Imax
0 1 2	16.02	36
1 0 4	22.66	16
1 1 0	22.80	16
2 0 2	27.99	45
0 2 4	32.36	100
2 0 8	46.28	36
2 2 0	46.57	36
4 0 4	57.85	18
2 2 12	76.88	16
2 4 4	77.32	16

Structural model:
```
data_LiSm3Er3S8
_chemical_formula_sum 'Li3 Sm9 Er9 S24'
_symmetry_space_group_name_H-M 'R -3 m'
_symmetry_Int_Tables_number 166
_symmetry_space_group_name_Hall '-R 3 2"'
_cell_length_a 7.8007
_cell_length_b 7.8007
_cell_length_c 19.2796
_cell_angle_alpha 90.00
_cell_angle_beta 90.00
_cell_angle_gamma 120.00
loop_
_atom_site_label
_atom_site_type_symbol
_atom_site_fract_x
_atom_site_fract_y
_atom_site_fract_z
_atom_site_occupancy
Li1 Li 0.0000 0.0000 0.0000 1
Sm1 Sm 0.0000 0.5000 0.5000 1
Er1 Er 0.0000 0.5000 0.0000 1
S1 S 0.0000 0.0000 0.2538 1
S2 S 0.0018 0.5009 0.7456 1
```

=====

Record 4
La2PmSmHo: theoretical powder diffraction line list (Cu Kα (weighted mean of Kα1 and Kα2)), based on a structure optimized by DFT (PBE).
Peak positions follow from Bragg's law for the DFT cell and can differ from measured ones.

Principal peaks in the range 2θ = 15–90°, in order of rising 2θ:
index	2theta	I/Imax
2 0 0	27.37	26
0 1 2	28.53	44
1 2 1	29.45	100
2 0 1	30.41	21
1 1 2	31.72	34
2 1 1	32.49	44
2 0 2	38.23	25
2 3 1	46.19	25
3 2 1	49.70	24
2 2 3	54.43	19

Structural model:
```
data_La2PmSmHo
_chemical_formula_sum 'La4 Pm2 Sm2 Ho2'
_symmetry_space_group_name_H-M 'P m m a'
_symmetry_Int_Tables_number 51
_cell_length_a 6.5164
_cell_length_b 7.9285
_cell_length_c 6.8105
_cell_angle_alpha 90.00
_cell_angle_beta 90.00
_cell_angle_gamma 90.00
loop_
_symmetry_equiv_pos_as_xyz
'x,y,z'
'-x,-y,-z'
'-x+1/2,-y,z'
'x+1/2,y,-z'
'x+1/2,-y,-z'
'-x+1/2,y,z'
'-x,y,-z'
'x,-y,z'
loop_
_atom_site_label
_atom_site_type_symbol
_atom_site_fract_x
_atom_site_fract_y
_atom_site_fract_z
_atom_site_occupancy
La1 La 0.2500 0.2037 0.2092 1
Pm1 Pm 0.2500 0.5000 0.9105 1
Sm1 Sm 0.2500 0.0000 0.6838 1
Ho1 Ho 0.0000 0.5000 0.5000 1
```

=====

Record 5
PmGa4Pt3: theoretical powder diffraction line list (Cu Kα (weighted mean of Kα1 and Kα2)), based on a structure optimized by DFT (PBE).
Peak positions follow from Bragg's law for the DFT cell and can differ from measured ones.

Principal peaks in the range 2θ = 15–90°, in order of rising 2θ:
index	2theta	I/Imax
1 0 1	23.66	53
1 0 2	29.59	100
1 1 0	30.36	38
1 1 1	32.07	34
1 1 2	36.77	36
2 0 0	43.47	82
1 1 3	43.64	78
1 0 4	46.84	51
2 1 2	53.47	39
2 1 4	65.81	37

Structural model:
```
data_PmGa4Pt3
_chemical_formula_sum 'Pm1 Ga4 Pt3'
_symmetry_space_group_name_H-M 'P 4/m m m'
_symmetry_Int_Tables_number 123
_symmetry_space_group_name_Hall '-P 4 2'
_cell_length_a 4.1636
_cell_length_b 4.1636
_cell_length_c 8.7669
_cell_angle_alpha 90.00
_cell_angle_beta 90.00
_cell_angle_gamma 90.00
loop_
_atom_site_label
_atom_site_type_symbol
_atom_site_fract_x
_atom_site_fract_y
_atom_site_fract_z
_atom_site_occupancy
Pm1 Pm 0.0000 0.0000 0.0000 1
Ga1 Ga 0.0000 0.5000 0.3244 1
Pt1 Pt 0.0000 0.0000 0.5000 1
Pt2 Pt 0.5000 0.5000 0.1534 1
```

=====

Record 6
ThTl3Cl6: theoretical powder diffraction line list (Cu Kα (weighted mean of Kα1 and Kα2)), based on a structure optimized by DFT (PBE).
Peak positions follow from Bragg's law for the DFT cell and can differ from measured ones.

Principal peaks in the range 2θ = 15–90°, in order of rising 2θ:
index	2theta	I/Imax
1 1 0	18.23	44
1 1 -2	18.60	30
1 1 1	21.24	100
1 1 -3	21.87	100
2 0 -2	23.52	64
0 2 2	28.57	55
2 1 -4	30.27	29
2 2 0	36.95	30
2 2 -4	37.72	28
1 3 -1	40.41	46

Structural model:
```
data_ThTl3Cl6
_chemical_formula_sum 'Th2 Tl6 Cl12'
_symmetry_space_group_name_H-M 'P 1 21/c 1'
_symmetry_Int_Tables_number 14
_cell_length_a 7.5717
_cell_length_b 7.0075
_cell_length_c 15.4538
_cell_angle_alpha 90.00
_cell_angle_beta 116.74
_cell_angle_gamma 90.00
loop_
_symmetry_equiv_pos_as_xyz
'x,y,z'
'-x,-y,-z'
'-x,y+1/2,-z+1/2'
'x,-y+1/2,z+1/2'
loop_
_atom_site_label
_atom_site_type_symbol
_atom_site_fract_x
_atom_site_fract_y
_atom_site_fract_z
_atom_site_occupancy
Th1 Th 0.0000 0.0000 0.0000 1
Tl1 Tl 0.2770 0.1744 0.7993 1
Tl2 Tl 0.5000 0.0000 0.5000 1
Cl1 Cl 0.0644 0.7059 0.1204 1
Cl2 Cl 0.1484 0.6862 0.3934 1
Cl3 Cl 0.3612 0.1467 0.1192 1
```